# 1
For CsGe2As, a structure optimized by DFT (PBE) gives the simulated X-ray diffraction stick pattern in this record (λ = 1.5418 Å (Cu Kα)).

Largest 10 diffraction maxima, in order of falling intensity, 10 to 90 degrees two-theta:
d (Å)	intensity
3.514	100
4.051	42
1.757	40
2.395	35
2.323	32
2.686	24
2.314	24
2.579	23
1.671	23
2.382	20

a = 5.3710 Å, b = 5.3710 Å, c = 18.5136 Å
α = 90.00°, β = 90.00°, γ = 90.00°
Space group I4_1/amd (No. 141, origin choice 2)
Symmetry-distinct sites (fractional):
Cs  0.0000  0.2500  0.3750 (multiplicity 4)
Ge  0.0000  0.0000  0.0000 (multiplicity 8)
As  0.0000  0.2500  0.8750 (multiplicity 4)

# 2
For Hf2Si, a structure optimized by DFT (PBE) gives the simulated X-ray diffraction stick pattern in this record (λ = 1.5418 Å (Cu Kα)).

Largest 10 diffraction maxima, in order of falling intensity, 10 to 90 degrees two-theta:
d (Å)	intensity
2.559	100
1.492	19
2.596	19
2.080	18
1.189	13
1.525	13
1.331	12
2.038	10
1.623	9
4.650	9

a = 6.5762 Å, b = 6.5762 Å, c = 5.1928 Å
α = 90.00°, β = 90.00°, γ = 90.00°
Space group I4/mcm (No. 140)
Symmetry-distinct sites (fractional):
Hf  0.1568  0.3432  0.0000 (multiplicity 8)
Si  0.0000  0.0000  0.2500 (multiplicity 4)

# 3
For SrMg4Te, a structure optimized by DFT (PBE) gives the simulated X-ray diffraction stick pattern in this record (λ = 1.5418 Å (Cu Kα)).

Largest 10 diffraction maxima, in order of falling intensity, 10 to 90 degrees two-theta:
d (Å)	intensity
2.650	100
3.107	84
5.074	41
1.691	34
1.794	34
1.554	23
1.144	21
1.174	17
1.390	14
1.340	11

a = 8.7885 Å, b = 8.7885 Å, c = 8.7885 Å
α = 90.00°, β = 90.00°, γ = 90.00°
Space group F-43m (No. 216)
Symmetry-distinct sites (fractional):
Sr  0.0000  0.0000  0.0000 (multiplicity 4)
Mg  0.1252  0.1252  0.3748 (multiplicity 16)
Te  0.2500  0.2500  0.7500 (multiplicity 4)

# 4
For RbGa3Ir, a structure optimized by DFT (PBE) gives the simulated X-ray diffraction stick pattern in this record (λ = 1.5418 Å (Cu Kα)).

Largest 10 diffraction maxima, in order of falling intensity, 10 to 90 degrees two-theta:
d (Å)	intensity
2.272	100
5.562	92
5.808	61
2.904	48
2.972	45
1.874	38
3.530	36
3.273	28
2.316	28
1.636	27

a = 12.5981 Å, b = 6.5466 Å, c = 7.0084 Å
α = 90.00°, β = 123.19°, γ = 90.00°
Space group Cm (No. 8)
Symmetry-distinct sites (fractional):
Rb  0.0000  0.0000  0.0000 (multiplicity 2)
Rb  0.2253  0.5000  0.4160 (multiplicity 2)
Ga  0.0002  0.2465  0.4694 (multiplicity 4)
Ga  0.2256  0.3016  0.9531 (multiplicity 4)
Ga  0.2850  0.0000  0.4967 (multiplicity 2)
Ga  0.4202  0.0000  0.9465 (multiplicity 2)
Ir  0.1679  0.0000  0.6850 (multiplicity 2)
Ir  0.3460  0.0000  0.2198 (multiplicity 2)

# 5
For HfGa2Pd2, a structure optimized by DFT (PBE) gives the simulated X-ray diffraction stick pattern in this record (λ = 1.5418 Å (Cu Kα)).

Largest 10 diffraction maxima, in order of falling intensity, 10 to 90 degrees two-theta:
d (Å)	intensity
2.339	100
2.434	54
2.260	46
2.115	36
2.110	35
1.244	20
1.655	17
1.658	16
1.320	16
2.988	16

a = 4.5203 Å, b = 3.0742 Å, c = 11.9492 Å
α = 90.00°, β = 90.17°, γ = 90.00°
Space group P2_1/m (No. 11)
Symmetry-distinct sites (fractional):
Hf  0.2477  0.2500  0.2521 (multiplicity 2)
Ga  0.2483  0.7500  0.0360 (multiplicity 2)
Ga  0.2514  0.2500  0.6402 (multiplicity 2)
Pd  0.2495  0.7500  0.4589 (multiplicity 2)
Pd  0.2524  0.2500  0.8529 (multiplicity 2)

# 6
For CsUBr4, a structure optimized by DFT (PBE) gives the simulated X-ray diffraction stick pattern in this record (λ = 1.5418 Å (Cu Kα)).

Largest 10 diffraction maxima, in order of falling intensity, 10 to 90 degrees two-theta:
d (Å)	intensity
5.485	100
3.246	70
2.743	58
2.888	53
3.398	36
7.758	36
2.134	23
1.843	23
2.453	22
1.836	21

a = 10.9708 Å, b = 10.9708 Å, c = 4.3279 Å
α = 90.00°, β = 90.00°, γ = 90.00°
Space group P4/nmm (No. 129, origin choice 2)
Symmetry-distinct sites (fractional):
Cs  0.2500  0.2500  0.1823 (multiplicity 2)
U  0.2500  0.7500  0.0000 (multiplicity 2)
Br  0.0274  0.7500  0.3183 (multiplicity 8)

# 7
For Nd4Zn3Ge, a structure optimized by DFT (PBE) gives the simulated X-ray diffraction stick pattern in this record (λ = 1.5418 Å (Cu Kα)).

Largest 10 diffraction maxima, in order of falling intensity, 10 to 90 degrees two-theta:
d (Å)	intensity
2.599	100
2.612	99
1.503	36
1.842	35
3.685	27
1.500	18
1.511	17
1.163	15
1.167	14
1.299	11

a = 5.1977 Å, b = 5.1977 Å, c = 25.6607 Å
α = 90.00°, β = 90.00°, γ = 120.00°
Space group R-3m (No. 166, hexagonal axes)
Symmetry-distinct sites (fractional):
Nd  0.0000  0.0000  0.1231 (multiplicity 6)
Nd  0.0000  0.0000  0.3734 (multiplicity 6)
Zn  0.0000  0.0000  0.2439 (multiplicity 6)
Zn  0.0000  0.0000  0.5000 (multiplicity 3)
Ge  0.0000  0.0000  0.0000 (multiplicity 3)

# 8
For La2ErSi3Pt12, a structure optimized by DFT (PBE) gives the simulated X-ray diffraction stick pattern in this record (λ = 1.5418 Å (Cu Kα)).

Largest 10 diffraction maxima, in order of falling intensity, 10 to 90 degrees two-theta:
d (Å)	intensity
2.832	100
2.086	60
1.929	43
2.616	24
3.857	18
1.679	17
2.343	13
1.416	13
1.308	13
1.227	12

a = 8.3431 Å, b = 8.3431 Å, c = 18.2470 Å
α = 90.00°, β = 90.00°, γ = 120.00°
Space group R-3m (No. 166, hexagonal axes)
Symmetry-distinct sites (fractional):
La  0.0000  0.0000  0.1021 (multiplicity 6)
Er  0.0000  0.0000  0.5000 (multiplicity 3)
Si  0.0000  0.5000  0.0000 (multiplicity 9)
Pt  0.0264  0.5132  0.8708 (multiplicity 18)
Pt  0.0344  0.5172  0.3662 (multiplicity 18)